Computed PXRD pattern
Compound: Tl2CuIrO8
Radiation: CuKα
Structure: DFT lattice parameters and positions (GGA-PBE)

The 6 most intense peaks (2θ from 10° to 80°), by angle:
2θ 24.4, d 3.650, rel. 100, (1 1 0)
2θ 27.3, d 3.261, rel. 86, (1 -1 0)
2θ 31.7, d 2.821, rel. 53, (0 1 2)
2θ 31.9, d 2.802, rel. 60, (1 0 2)
2θ 33.0, d 2.713, rel. 36, (0 1 -2)
2θ 33.8, d 2.653, rel. 39, (1 0 -2)

```
data_Tl2CuIrO8
_symmetry_space_group_name_H-M 'P -1'
_symmetry_Int_Tables_number 2
_symmetry_space_group_name_Hall '-P 1'
_cell_length_a 4.794
_cell_length_b 5.019
_cell_length_c 6.668
_cell_angle_alpha 87.18
_cell_angle_beta 86.35
_cell_angle_gamma 83.39
loop_
_atom_site_label
_atom_site_type_symbol
_atom_site_fract_x
_atom_site_fract_y
_atom_site_fract_z
Tl1 Tl 0.064 0.038 0.240
Cu1 Cu 0.500 0.500 0.000
Ir1 Ir 0.500 0.500 0.500
O1 O 0.246 0.341 0.668
O2 O 0.259 0.818 0.979
O3 O 0.261 0.839 0.508
O4 O 0.321 0.411 0.253
```